Simulated X-ray powder pattern of HfMg14Fe for Cu Kα, 1.54184 Å, from the PBE geometry in the Materials Project.
Neutral-atom scattering factors, no anomalous dispersion.

Principal peaks in the range 2θ from 15° to 90°, by angle:
2θ/deg  d_spacing  intensity  h k l
16.3  5.448  53  1 0 0
18.5  4.790  26  1 0 1
24.1  3.694  35  1 0 2
32.9  2.724  30  2 0 0
33.6  2.667  17  1 1 2
35.7  2.513  24  0 0 4
37.6  2.395  100  2 0 2
47.7  1.906  15  2 1 2
49.3  1.847  19  2 0 4
58.7  1.573  17  2 2 0
65.4  1.427  18  2 0 6
70.7  1.333  18  2 2 4

Structural model:
```
data_HfMg14Fe
_cell_length_a 6.2913
_cell_length_b 6.2913
_cell_length_c 10.0531
_cell_angle_alpha 90.00
_cell_angle_beta 90.00
_cell_angle_gamma 120.00
_symmetry_space_group_name_H-M 'P -6 m 2'
_symmetry_Int_Tables_number 187
_symmetry_space_group_name_Hall 'P -6 2'
loop_
_atom_site_label
_atom_site_type_symbol
_atom_site_fract_x
_atom_site_fract_y
_atom_site_fract_z
Hf1 Hf 0.0000 0.0000 0.0000
Mg1 Mg 0.0088 0.5044 0.0000
Mg2 Mg 0.1588 0.3176 0.2627
Mg3 Mg 0.5018 0.0037 0.5000
Mg4 Mg 0.6667 0.3333 0.2426
Fe1 Fe 0.0000 0.0000 0.5000
```

=====

Simulated X-ray powder pattern of HfMg6Fe for Cu Kα, 1.54184 Å, from the PBE geometry in the Materials Project.
Neutral-atom scattering factors, no anomalous dispersion.

Principal peaks in the range 2θ from 15° to 90°, by angle:
2θ/deg  d_spacing  intensity  h k l
16.0  5.539  48  0 0 2
16.7  5.322  100  0 1 1
24.6  3.613  22  1 0 2
25.1  3.551  33  1 1 1
28.3  3.155  20  0 1 3
33.7  2.661  42  0 2 2
34.1  2.631  27  1 1 3
37.6  2.395  56  1 0 4
37.7  2.384  30  2 0 0
38.8  2.324  63  1 2 2
41.5  2.175  20  2 1 1
51.5  1.775  29  2 2 2

Structural model:
```
data_HfMg6Fe
_cell_length_a 4.7674
_cell_length_b 6.0687
_cell_length_c 11.0777
_cell_angle_alpha 90.00
_cell_angle_beta 90.00
_cell_angle_gamma 90.00
_symmetry_space_group_name_H-M 'A m m 2'
_symmetry_Int_Tables_number 38
loop_
_symmetry_equiv_pos_as_xyz
'x,y,z'
'-x,-y,z'
'-x,y,z'
'x,-y,z'
'x,y+1/2,z+1/2'
'-x,-y+1/2,z+1/2'
'-x,y+1/2,z+1/2'
'x,-y+1/2,z+1/2'
loop_
_atom_site_label
_atom_site_type_symbol
_atom_site_fract_x
_atom_site_fract_y
_atom_site_fract_z
Hf1 Hf 0.0000 0.0000 0.0000
Mg1 Mg 0.0000 0.0000 0.4732
Mg2 Mg 0.0000 0.2416 0.2319
Mg3 Mg 0.5000 0.0000 0.6336
Mg4 Mg 0.5000 0.2437 0.8864
Fe1 Fe 0.5000 0.0000 0.1082
```

=====

Simulated X-ray powder pattern of Hf9FeMo4 for Cu Kα, 1.54184 Å, from the PBE geometry in the Materials Project.
Neutral-atom scattering factors, no anomalous dispersion.

Principal peaks in the range 2θ from 15° to 90°, by angle:
2θ/deg  d_spacing  intensity  h k l
31.5  2.837  22  2 1 0
31.9  2.802  38  2 0 2
34.1  2.631  34  1 0 3
35.9  2.502  23  3 0 0
37.5  2.398  73  3 0 1
38.2  2.353  100  2 1 2
40.1  2.249  48  2 0 3
41.7  2.167  24  2 2 0
63.4  1.468  37  3 2 3
64.5  1.444  18  3 3 0
66.1  1.414  27  5 0 2
66.9  1.398  31  3 0 5

Structural model:
```
data_Hf9FeMo4
_cell_length_a 8.6664
_cell_length_b 8.6664
_cell_length_c 8.4267
_cell_angle_alpha 90.00
_cell_angle_beta 90.00
_cell_angle_gamma 120.00
_symmetry_space_group_name_H-M 'P 63/m m c'
_symmetry_Int_Tables_number 194
_symmetry_space_group_name_Hall '-P 6c 2c'
loop_
_atom_site_label
_atom_site_type_symbol
_atom_site_fract_x
_atom_site_fract_y
_atom_site_fract_z
Hf1 Hf 0.0804 0.5402 0.2500
Hf2 Hf 0.2018 0.4037 0.5572
Fe1 Fe 0.3333 0.6667 0.7500
Mo1 Mo 0.0000 0.0000 0.0000
Mo2 Mo 0.1128 0.2257 0.2500
```

=====

Simulated X-ray powder pattern of HfFeN2 for Cu Kα, 1.54184 Å, from the PBE geometry in the Materials Project.
Neutral-atom scattering factors, no anomalous dispersion.

Principal peaks in the range 2θ from 15° to 90°, by angle:
2θ/deg  d_spacing  intensity  h k l
19.0  4.669  45  0 0 2
34.7  2.582  100  1 0 1
38.6  2.335  30  0 0 4
38.7  2.329  82  1 0 2
44.6  2.034  78  1 0 3
59.6  1.551  36  1 1 0
60.4  1.533  27  1 0 5
63.2  1.472  13  1 1 2
69.8  1.347  15  1 0 6
70.9  1.330  14  2 0 1
73.3  1.292  40  1 1 4
77.4  1.233  15  2 0 3

Structural model:
```
data_HfFeN2
_cell_length_a 3.1022
_cell_length_b 3.1022
_cell_length_c 9.3381
_cell_angle_alpha 90.00
_cell_angle_beta 90.00
_cell_angle_gamma 120.00
_symmetry_space_group_name_H-M 'P 63/m m c'
_symmetry_Int_Tables_number 194
_symmetry_space_group_name_Hall '-P 6c 2c'
loop_
_atom_site_label
_atom_site_type_symbol
_atom_site_fract_x
_atom_site_fract_y
_atom_site_fract_z
Hf1 Hf 0.3333 0.6667 0.2500
Fe1 Fe 0.0000 0.0000 0.0000
N1 N 0.3333 0.6667 0.6069
```

=====

Simulated X-ray powder pattern of Hf2FeOs for Cu Kα, 1.54184 Å, from the PBE geometry in the Materials Project.
Neutral-atom scattering factors, no anomalous dispersion.

Principal peaks in the range 2θ from 15° to 90°, by angle:
2θ/deg  d_spacing  intensity  h k l
24.0  3.706  11  1 1 1
27.8  3.210  4  2 0 0
39.7  2.269  100  2 2 0
46.9  1.935  6  3 1 1
49.2  1.853  1  2 2 2
57.4  1.605  17  4 0 0
63.1  1.473  3  3 3 1
65.0  1.435  2  4 2 0
72.1  1.310  35  4 2 2
77.2  1.235  2  5 1 1
85.6  1.135  11  4 4 0

Structural model:
```
data_Hf2FeOs
_cell_length_a 6.4191
_cell_length_b 6.4191
_cell_length_c 6.4191
_cell_angle_alpha 90.00
_cell_angle_beta 90.00
_cell_angle_gamma 90.00
_symmetry_space_group_name_H-M 'F m -3 m'
_symmetry_Int_Tables_number 225
_symmetry_space_group_name_Hall '-F 4 2 3'
loop_
_atom_site_label
_atom_site_type_symbol
_atom_site_fract_x
_atom_site_fract_y
_atom_site_fract_z
Hf1 Hf 0.2500 0.2500 0.2500
Fe1 Fe 0.0000 0.0000 0.0000
Os1 Os 0.0000 0.0000 0.5000
```

=====

Simulated X-ray powder pattern of Hf4FeP for Cu Kα, 1.54184 Å, from the PBE geometry in the Materials Project.
Neutral-atom scattering factors, no anomalous dispersion.

Principal peaks in the range 2θ from 15° to 90°, by angle:
2θ/deg  d_spacing  intensity  h k l
28.7  3.111  12  2 0 0
32.0  2.799  24  0 0 2
36.0  2.492  100  2 1 1
38.1  2.361  10  1 1 2
43.5  2.081  22  2 0 2
46.1  1.968  17  3 1 0
59.7  1.550  24  2 1 3
63.4  1.467  7  3 3 0
63.9  1.457  20  4 1 1
72.8  1.299  14  3 3 2
82.1  1.173  10  4 1 3
85.9  1.132  8  5 2 1

Structural model:
```
data_Hf4FeP
_cell_length_a 6.2225
_cell_length_b 6.2225
_cell_length_c 5.5970
_cell_angle_alpha 90.00
_cell_angle_beta 90.00
_cell_angle_gamma 90.00
_symmetry_space_group_name_H-M 'P 4/m c c'
_symmetry_Int_Tables_number 124
_symmetry_space_group_name_Hall '-P 4 2c'
loop_
_atom_site_label
_atom_site_type_symbol
_atom_site_fract_x
_atom_site_fract_y
_atom_site_fract_z
Hf1 Hf 0.1622 0.3254 0.0000
Fe1 Fe 0.0000 0.0000 0.2500
P1 P 0.5000 0.5000 0.2500
```

=====

Simulated X-ray powder pattern of HfFeP for Cu Kα, 1.54184 Å, from the PBE geometry in the Materials Project.
Neutral-atom scattering factors, no anomalous dispersion.

Principal peaks in the range 2θ from 15° to 90°, by angle:
2θ/deg  d_spacing  intensity  h k l
27.0  3.298  57  0 1 1
28.6  3.121  28  2 0 0
38.0  2.368  85  1 1 2
38.6  2.334  29  2 0 2
39.8  2.267  100  2 1 1
41.2  2.194  42  1 0 3
45.5  1.995  17  3 0 1
45.7  1.985  19  0 1 3
48.8  1.867  29  0 2 0
60.0  1.541  18  1 1 4
65.7  1.422  21  1 2 3
75.2  1.263  23  3 1 4

Structural model:
```
data_HfFeP
_cell_length_a 6.2426
_cell_length_b 3.7340
_cell_length_c 7.0291
_cell_angle_alpha 90.00
_cell_angle_beta 90.00
_cell_angle_gamma 90.00
_symmetry_space_group_name_H-M 'P n m a'
_symmetry_Int_Tables_number 62
loop_
_symmetry_equiv_pos_as_xyz
'x,y,z'
'-x,-y,-z'
'-x+1/2,-y,z+1/2'
'x+1/2,y,-z+1/2'
'x+1/2,-y+1/2,-z+1/2'
'-x+1/2,y+1/2,z+1/2'
'-x,y+1/2,-z'
'x,-y+1/2,z'
loop_
_atom_site_label
_atom_site_type_symbol
_atom_site_fract_x
_atom_site_fract_y
_atom_site_fract_z
Hf1 Hf 0.0169 0.2500 0.1847
Fe1 Fe 0.1486 0.2500 0.5620
P1 P 0.2191 0.7500 0.3853
```

=====

Simulated X-ray powder pattern of Hf5FeSb2 for Cu Kα, 1.54184 Å, from the PBE geometry in the Materials Project.
Neutral-atom scattering factors, no anomalous dispersion.

Principal peaks in the range 2θ from 15° to 90°, by angle:
2θ/deg  d_spacing  intensity  h k l
25.9  3.446  16  3 1 0
32.0  2.793  23  0 0 2
33.7  2.658  45  3 2 1
34.9  2.569  18  3 3 0
36.1  2.486  23  2 0 2
36.9  2.437  23  4 2 0
37.6  2.389  100  4 1 1
39.9  2.262  30  2 2 2
59.5  1.553  15  5 3 2
60.0  1.541  15  5 5 0
60.8  1.522  26  4 1 3
78.0  1.224  18  8 0 2

Structural model:
```
data_Hf5FeSb2
_cell_length_a 10.8982
_cell_length_b 10.8982
_cell_length_c 5.5865
_cell_angle_alpha 90.00
_cell_angle_beta 90.00
_cell_angle_gamma 90.00
_symmetry_space_group_name_H-M 'I 4/m c m'
_symmetry_Int_Tables_number 140
_symmetry_space_group_name_Hall '-I 4 2c'
loop_
_atom_site_label
_atom_site_type_symbol
_atom_site_fract_x
_atom_site_fract_y
_atom_site_fract_z
Hf1 Hf 0.0000 0.5000 0.2500
Hf2 Hf 0.0703 0.1997 0.0000
Fe1 Fe 0.0000 0.0000 0.2500
Sb1 Sb 0.1640 0.3360 0.5000
```